(1)
The following is a theoretical powder X-ray diffraction pattern of Te3W5O18. It was derived from a DFT-relaxed cell (GGA+U, the Materials Project), using a wavelength of 1.5418 Å.

Peak list (12 most intense, 15° ≤ 2θ ≤ 90°, most intense first)
2θ (°)	I (rel.)
31.6	100
21.9	94
30.0	86
32.5	86
29.2	75
23.0	62
21.0	50
30.7	50
24.1	47
20.6	39
41.9	37
43.7	35

Cell and atoms:
a b c (Å): 9.169 9.169 12.004
angles (deg): 91.57 91.57 62.18
Fractional positions:
Te (0.007, 0.007, 0.235)
Te (0.361, 0.460, 0.905)
Te (0.428, 0.436, 0.414)
Te (0.540, 0.639, 0.095)
Te (0.564, 0.572, 0.586)
Te (0.993, 0.993, 0.765)
W (0.079, 0.921, 0.000)
W (0.122, 0.572, 0.185)
W (0.311, 0.015, 0.545)
W (0.428, 0.878, 0.815)
W (0.513, 0.154, 0.692)
W (0.620, 0.031, 0.959)
W (0.846, 0.487, 0.308)
W (0.853, 0.147, 0.500)
W (0.969, 0.380, 0.041)
W (0.985, 0.689, 0.455)
O (0.016, 0.781, 0.273)
O (0.033, 0.160, 0.005)
O (0.066, 0.490, 0.336)
O (0.088, 0.082, 0.498)
O (0.090, 0.792, 0.857)
O (0.130, 0.686, 0.063)
O (0.177, 0.368, 0.105)
O (0.208, 0.910, 0.143)
O (0.216, 0.619, 0.461)
O (0.219, 0.984, 0.727)
O (0.299, 0.213, 0.616)
O (0.314, 0.870, 0.937)
O (0.332, 0.498, 0.246)
O (0.381, 0.784, 0.539)
O (0.395, 0.032, 0.421)
O (0.416, 0.106, 0.846)
O (0.431, 0.375, 0.750)
O (0.502, 0.668, 0.754)
O (0.510, 0.934, 0.664)
O (0.542, 0.015, 0.086)
O (0.545, 0.270, 0.969)
O (0.625, 0.569, 0.250)
O (0.626, 0.150, 0.569)
O (0.632, 0.823, 0.895)
O (0.703, 0.053, 0.786)
O (0.728, 0.189, 0.374)
O (0.730, 0.455, 0.031)
O (0.787, 0.701, 0.384)
O (0.811, 0.272, 0.626)
O (0.840, 0.967, 0.995)
O (0.850, 0.374, 0.431)
O (0.894, 0.584, 0.154)
O (0.918, 0.912, 0.502)
O (0.947, 0.297, 0.214)
O (0.968, 0.605, 0.579)
O (0.985, 0.458, 0.914)

***

(2)
The following is a theoretical powder X-ray diffraction pattern of Te3WO12. It was derived from a DFT-relaxed cell (GGA+U, the Materials Project), using a wavelength of 1.5418 Å.

Peak list (12 most intense, 15° ≤ 2θ ≤ 90°, most intense first)
2θ (°)	I (rel.)
20.6	100
19.9	50
32.3	33
32.7	31
35.9	20
39.9	14
40.7	14
51.5	14
52.1	13
34.2	12
20.8	12
68.5	10

Cell and atoms:
a b c (Å): 4.986 8.540 5.239
angles (deg): 90.00 91.29 90.00
Fractional positions:
Te (0.000, 0.000, 0.000)
Te (0.000, 0.182, 0.500)
Te (0.500, 0.690, 0.000)
W (0.500, 0.501, 0.500)
O (0.208, 0.166, 0.819)
O (0.214, 0.022, 0.317)
O (0.244, 0.345, 0.394)
O (0.249, 0.847, 0.863)
O (0.291, 0.529, 0.809)
O (0.296, 0.665, 0.309)
O (0.704, 0.665, 0.691)
O (0.709, 0.529, 0.191)
O (0.751, 0.847, 0.137)
O (0.756, 0.345, 0.606)
O (0.786, 0.022, 0.683)
O (0.792, 0.166, 0.181)

***

(3)
The following is a theoretical powder X-ray diffraction pattern of TeW3O12. It was derived from a DFT-relaxed cell (GGA+U, the Materials Project), using a wavelength of 1.5418 Å.

Peak list (12 most intense, 15° ≤ 2θ ≤ 90°, most intense first)
2θ (°)	I (rel.)
23.7	100
33.3	31
34.1	26
54.0	22
55.2	18
48.4	17
42.0	13
60.6	12
76.9	8
61.1	7
59.0	6
76.0	6

Cell and atoms:
a b c (Å): 5.253 5.384 7.520
angles (deg): 88.12 89.99 89.98
Fractional positions:
Te (0.000, 0.000, 0.000)
W (0.500, 0.518, 0.511)
W (0.503, 0.500, 0.011)
W (0.999, 0.018, 0.500)
O (0.092, 0.003, 0.751)
O (0.208, 0.709, 0.048)
O (0.210, 0.297, 0.461)
O (0.291, 0.208, 0.048)
O (0.291, 0.797, 0.462)
O (0.418, 0.504, 0.754)
O (0.583, 0.501, 0.254)
O (0.708, 0.214, 0.543)
O (0.708, 0.792, 0.955)
O (0.792, 0.714, 0.543)
O (0.793, 0.293, 0.956)
O (0.909, 0.002, 0.250)

***

Copy entry 3 word for word.
The following is a theoretical powder X-ray diffraction pattern of TeW3O12. It was derived from a DFT-relaxed cell (GGA+U, the Materials Project), using a wavelength of 1.5418 Å.

Peak list (12 most intense, 15° ≤ 2θ ≤ 90°, most intense first)
2θ (°)	I (rel.)
23.7	100
33.3	31
34.1	26
54.0	22
55.2	18
48.4	17
42.0	13
60.6	12
76.9	8
61.1	7
59.0	6
76.0	6

Cell and atoms:
a b c (Å): 5.253 5.384 7.520
angles (deg): 88.12 89.99 89.98
Fractional positions:
Te (0.000, 0.000, 0.000)
W (0.500, 0.518, 0.511)
W (0.503, 0.500, 0.011)
W (0.999, 0.018, 0.500)
O (0.092, 0.003, 0.751)
O (0.208, 0.709, 0.048)
O (0.210, 0.297, 0.461)
O (0.291, 0.208, 0.048)
O (0.291, 0.797, 0.462)
O (0.418, 0.504, 0.754)
O (0.583, 0.501, 0.254)
O (0.708, 0.214, 0.543)
O (0.708, 0.792, 0.955)
O (0.792, 0.714, 0.543)
O (0.793, 0.293, 0.956)
O (0.909, 0.002, 0.250)